Starting from a cell relaxed with GGA-PBE, the powder diffractogram of Hg2SbF8 was simulated for Cu Kα X-rays.
No peak broadening, texture or thermal motion is included.

Atomic structure:
```
data_Hg2SbF8
_symmetry_space_group_name_H-M 'P -3 m 1'
_symmetry_Int_Tables_number 164
_symmetry_space_group_name_Hall '-P 3 2"'
_cell_length_a 7.2972
_cell_length_b 7.2972
_cell_length_c 4.4259
_cell_angle_alpha 90.00
_cell_angle_beta 90.00
_cell_angle_gamma 120.00
loop_
_atom_site_label
_atom_site_type_symbol
_atom_site_fract_x
_atom_site_fract_y
_atom_site_fract_z
_atom_site_occupancy
Hg1 Hg 0.3333 0.6667 0.2309 1
Sb1 Sb 0.0000 0.0000 0.5000 1
F1 F 0.1268 0.2537 0.2580 1
F2 F 0.3333 0.6667 0.7320 1
```

Principal peaks in the range 10 to 90 degrees two-theta, sorted by position:
| Position (°2θ) | I/Imax |
| --- | --- |
| 24.40 | 100 |
| 24.56 | 85 |
| 34.89 | 20 |
| 43.00 | 67 |
| 43.32 | 13 |
| 50.00 | 18 |
| 50.34 | 14 |
| 56.47 | 14 |
| 56.71 | 19 |
| 68.01 | 22 |

Starting from a cell relaxed with GGA-PBE, the powder diffractogram of HgSb2F6 was simulated for Cu Kα X-rays.
No peak broadening, texture or thermal motion is included.

Atomic structure:
```
data_HgSb2F6
_symmetry_space_group_name_H-M 'C 1 2/c 1'
_symmetry_Int_Tables_number 15
_cell_length_a 13.6458
_cell_length_b 8.7082
_cell_length_c 8.1173
_cell_angle_alpha 90.00
_cell_angle_beta 126.40
_cell_angle_gamma 90.00
loop_
_symmetry_equiv_pos_as_xyz
'x,y,z'
'-x,-y,-z'
'-x,y,-z+1/2'
'x,-y,z+1/2'
'x+1/2,y+1/2,z'
'-x+1/2,-y+1/2,-z'
'-x+1/2,y+1/2,-z+1/2'
'x+1/2,-y+1/2,z+1/2'
loop_
_atom_site_label
_atom_site_type_symbol
_atom_site_fract_x
_atom_site_fract_y
_atom_site_fract_z
_atom_site_occupancy
Hg1 Hg 0.0000 0.2500 0.2500 1
Sb1 Sb 0.2498 0.0632 0.2884 1
F1 F 0.1241 0.0648 0.9952 1
F2 F 0.1244 0.4357 0.7538 1
F3 F 0.2496 0.1730 0.7591 1
```

Principal peaks in the range 10 to 90 degrees two-theta, sorted by position:
| Position (°2θ) | I/Imax |
| --- | --- |
| 14.92 | 74 |
| 22.05 | 51 |
| 24.58 | 34 |
| 26.12 | 64 |
| 27.32 | 100 |
| 30.10 | 40 |
| 36.04 | 28 |
| 36.73 | 29 |
| 38.50 | 26 |
| 44.97 | 28 |

Starting from a cell relaxed with GGA-PBE, the powder diffractogram of Hg2SbF5 was simulated for Cu Kα X-rays.
No peak broadening, texture or thermal motion is included.

Atomic structure:
```
data_Hg2SbF5
_symmetry_space_group_name_H-M 'P 1'
_symmetry_Int_Tables_number 1
_cell_length_a 5.1502
_cell_length_b 5.3938
_cell_length_c 5.8048
_cell_angle_alpha 87.37
_cell_angle_beta 88.08
_cell_angle_gamma 82.00
loop_
_symmetry_equiv_pos_as_xyz
'x,y,z'
loop_
_atom_site_label
_atom_site_type_symbol
_atom_site_fract_x
_atom_site_fract_y
_atom_site_fract_z
_atom_site_occupancy
Hg1 Hg 0.0000 0.0000 0.0000 1
Hg2 Hg 0.2174 0.2798 0.6843 1
Sb1 Sb 0.5337 0.5351 0.4008 1
F1 F 0.3227 0.8730 0.3836 1
F2 F 0.3842 0.4639 0.1051 1
F3 F 0.7474 0.6396 0.6477 1
F4 F 0.7843 0.6897 0.1954 1
F5 F 0.8050 0.2325 0.3737 1
```

Principal peaks in the range 10 to 90 degrees two-theta, sorted by position:
| Position (°2θ) | I/Imax |
| --- | --- |
| 17.39 | 22 |
| 22.17 | 100 |
| 22.91 | 92 |
| 25.78 | 80 |
| 27.90 | 40 |
| 37.45 | 33 |
| 39.45 | 23 |
| 39.88 | 21 |
| 40.84 | 24 |
| 42.94 | 22 |